Record 1
# Zn2Pd4Pt
Simulated powder X-ray diffraction pattern, Cu Kα (λ = 1.5418 Å). Input: a GGA-PBE-relaxed structure.
Peak positions follow from Bragg's law for the DFT cell and can differ from measured ones.

Peak list (10 most intense, 5° ≤ 2θ ≤ 70°, in order of rising 2θ)
- 22.86°, I = 23
- 32.08°, I = 22
- 33.62°, I = 28
- 37.01°, I = 30
- 37.25°, I = 44
- 39.17°, I = 88
- 39.48°, I = 93
- 42.36°, I = 100
- 43.79°, I = 32
- 44.88°, I = 28

Cell and atoms:
```
Zn2Pd4Pt
1.0
6.5552 0.0000 0.0000
0.0000 5.3316 0.0000
-3.0070 0.0000 6.1878
Zn Pd Pt
4 8 2
direct
0.0500 0.2500 0.3452
0.2583 0.7500 0.0826
0.7417 0.2500 0.9174
0.9500 0.7500 0.6548
0.2025 0.2500 0.0609
0.3469 0.5021 0.7756
0.3469 0.9979 0.7756
0.4774 0.2500 0.4885
0.5226 0.7500 0.5115
0.6531 0.0021 0.2244
0.6531 0.4979 0.2244
0.7975 0.7500 0.9391
0.0756 0.7500 0.3584
0.9244 0.2500 0.6416
```



Record 2
# Sc2AlZn3
Simulated powder X-ray diffraction pattern, Cu Kα (λ = 1.5418 Å). Input: a GGA-PBE-relaxed structure.
Peak positions follow from Bragg's law for the DFT cell and can differ from measured ones.

Peak list (10 most intense, 5° ≤ 2θ ≤ 70°, in order of rising 2θ)
- 18.12°, I = 5
- 20.25°, I = 3
- 23.42°, I = 3
- 24.60°, I = 8
- 27.87°, I = 18
- 36.71°, I = 100
- 41.15°, I = 89
- 50.44°, I = 21
- 56.32°, I = 28
- 57.59°, I = 10

Cell and atoms:
```
Sc2AlZn3
1.0
0.0000 4.3847 7.6023
3.2010 0.0000 7.6023
3.2010 4.3847 0.0000
Sc Al Zn
4 2 6
direct
0.2478 0.7522 0.7522
0.2500 0.2500 0.2500
0.7500 0.7500 0.7500
0.7522 0.2478 0.2478
0.3333 0.3333 0.6667
0.6667 0.6667 0.3333
0.1658 0.1658 0.8342
0.1667 0.6677 0.3323
0.3323 0.8333 0.1667
0.6677 0.1667 0.8333
0.8333 0.3323 0.6677
0.8342 0.8342 0.1658
```



Question: Which formula does entry 1 have?
Answer: Zn2Pd4Pt



Please write out number 1 again, unchanged.
# Zn2Pd4Pt
Simulated powder X-ray diffraction pattern, Cu Kα (λ = 1.5418 Å). Input: a GGA-PBE-relaxed structure.
Peak positions follow from Bragg's law for the DFT cell and can differ from measured ones.

Peak list (10 most intense, 5° ≤ 2θ ≤ 70°, in order of rising 2θ)
- 22.86°, I = 23
- 32.08°, I = 22
- 33.62°, I = 28
- 37.01°, I = 30
- 37.25°, I = 44
- 39.17°, I = 88
- 39.48°, I = 93
- 42.36°, I = 100
- 43.79°, I = 32
- 44.88°, I = 28

Cell and atoms:
```
Zn2Pd4Pt
1.0
6.5552 0.0000 0.0000
0.0000 5.3316 0.0000
-3.0070 0.0000 6.1878
Zn Pd Pt
4 8 2
direct
0.0500 0.2500 0.3452
0.2583 0.7500 0.0826
0.7417 0.2500 0.9174
0.9500 0.7500 0.6548
0.2025 0.2500 0.0609
0.3469 0.5021 0.7756
0.3469 0.9979 0.7756
0.4774 0.2500 0.4885
0.5226 0.7500 0.5115
0.6531 0.0021 0.2244
0.6531 0.4979 0.2244
0.7975 0.7500 0.9391
0.0756 0.7500 0.3584
0.9244 0.2500 0.6416
```